No. 1
Structure and computed X-ray diffraction stick pattern of Na5Mo2N6 (a DFT-relaxed cell (PBE, Alexandria); CuKα).

The 10 most intense peaks (10 to 90 degrees two-theta), most intense first:
2θ (°), d [Å], Rel. int.
17.80, 4.982, 100
16.70, 5.309, 60
35.33, 2.541, 33
29.51, 3.027, 30
18.27, 4.857, 27
20.11, 4.415, 26
21.49, 4.136, 26
30.35, 2.945, 25
12.53, 7.067, 23
33.89, 2.645, 22

Structural model:
```
26
Lattice="5.325 -3.017 0.000 5.325 3.017 0.000 -1.116 0.000 14.133" Properties=species:S:1:pos:R:3 pbc="T T T"
Na 4.488 2.530 10.600
Na 3.254 1.536 13.795
Na 3.501 0.241 4.079
Na 5.723 1.536 7.405
Na 2.943 -0.241 11.145
Na 6.592 0.241 2.988
Na 3.812 -1.536 6.728
Na 6.034 -0.241 10.054
Na 6.280 -1.536 0.338
Na 5.046 -2.530 3.533
Mo 2.397 0.922 8.303
Mo 2.955 -0.922 1.237
Mo 6.580 0.922 12.896
Mo 7.138 -0.922 5.830
N 1.133 0.378 9.487
N 2.073 0.264 6.486
N 1.691 -0.378 2.421
N 1.515 -0.264 13.552
N 4.062 0.580 8.963
N 4.915 0.580 12.236
N 4.620 -0.580 1.897
N 5.473 -0.580 5.170
N 8.020 0.264 0.581
N 7.844 0.378 11.713
N 7.462 -0.264 7.647
N 8.402 -0.378 4.646
```

---

No. 2
Structure and computed X-ray diffraction stick pattern of NaMo2N3 (a DFT-relaxed cell (PBE, Alexandria); CuKα).

The 10 most intense peaks (10 to 90 degrees two-theta), most intense first:
2θ (°), d [Å], Rel. int.
16.64, 5.328, 100
39.33, 2.291, 88
37.62, 2.391, 87
33.40, 2.682, 55
37.82, 2.379, 40
10.99, 8.047, 33
36.14, 2.485, 32
59.62, 1.551, 29
46.07, 1.970, 23
61.28, 1.513, 23

Structural model:
```
12
Lattice="5.460 0.000 0.000 0.000 2.962 0.000 -1.803 0.000 8.047" Properties=species:S:1:pos:R:3 pbc="T T T"
Na -0.455 0.741 2.693
Na 4.112 2.222 5.355
Mo -0.240 0.741 8.010
Mo 1.463 0.741 5.353
Mo 2.193 2.222 2.695
Mo 3.897 2.222 0.037
N 0.627 2.222 1.104
N 0.703 2.222 4.102
N 0.599 2.222 6.629
N 3.058 0.741 1.418
N 2.954 0.741 3.945
N 3.029 0.741 6.944
```